# Cs2BeO2
Computed XRD peak list, Cu Kα. Input: a structure optimized by DFT (PBE).
Kinematic intensities with the Lorentz-polarization factor, no thermal factor.

Top 12 peaks for 15 to 90 degrees two-theta, by angle:
Position (°2θ), d [Å], Rel. int.
19.52, 4.547, 19
26.77, 3.330, 93
27.05, 3.296, 100
27.50, 3.244, 21
29.14, 3.065, 46
30.79, 2.904, 15
31.01, 2.884, 43
33.25, 2.695, 37
43.07, 2.100, 22
44.06, 2.055, 18
44.78, 2.024, 22
55.83, 1.647, 22

Crystal structure
a = 8.5447 Å, b = 6.1296 Å, c = 12.2988 Å
α = 90.00°, β = 132.32°, γ = 90.00°
Space group P2_1/c (No. 14)
Unique sites:
Cs  0.1099  0.0243  0.2150 x4
Cs  0.3105  0.5548  0.1257 x4
Be  0.4130  0.0354  0.0276 x4
O  0.2895  0.0780  0.0731 x4
O  0.3349  0.5527  0.3753 x4

# La6PrDy2Y
Computed XRD peak list, Cu Kα. Input: a structure optimized by DFT (PBE).
Kinematic intensities with the Lorentz-polarization factor, no thermal factor.

Top 12 peaks for 15 to 90 degrees two-theta, by angle:
Position (°2θ), d [Å], Rel. int.
26.61, 3.350, 53
29.48, 3.030, 47
29.93, 2.985, 100
30.40, 2.940, 36
30.62, 2.919, 31
31.05, 2.880, 73
31.58, 2.833, 33
32.06, 2.792, 40
32.27, 2.774, 32
34.05, 2.633, 24
54.80, 1.675, 25
55.49, 1.656, 26

Crystal structure
a = 11.3712 Å, b = 7.2480 Å, c = 9.0113 Å
α = 90.00°, β = 103.61°, γ = 90.00°
Space group C2/m (No. 12)
Unique sites:
La  0.1343  0.0000  0.4328 x4
La  0.1802  0.2790  0.7999 x8
Pr  0.0000  0.0000  0.0000 x2
Dy  0.0901  0.5000  0.1642 x4
Y  0.0000  0.5000  0.5000 x2

# Pr2Ge
Computed XRD peak list, Cu Kα. Input: a structure optimized by DFT (PBE).
Kinematic intensities with the Lorentz-polarization factor, no thermal factor.

Top 12 peaks for 15 to 90 degrees two-theta, by angle:
Position (°2θ), d [Å], Rel. int.
23.70, 3.754, 19
31.18, 2.868, 74
35.02, 2.562, 100
44.68, 2.028, 27
48.55, 1.875, 8
55.63, 1.652, 5
58.00, 1.590, 46
65.03, 1.434, 9
65.16, 1.432, 13
73.88, 1.283, 12
74.00, 1.281, 9
76.05, 1.251, 10

Crystal structure
a = 4.0566 Å, b = 4.0566 Å, c = 9.9130 Å
α = 90.00°, β = 90.00°, γ = 90.00°
Space group I4/mmm (No. 139)
Unique sites:
Pr  0.0000  0.0000  0.1498 x4
Ge  0.0000  0.0000  0.5000 x2

# Ac4ZnAg3
Computed XRD peak list, Cu Kα. Input: a structure optimized by DFT (PBE).
Kinematic intensities with the Lorentz-polarization factor, no thermal factor.

Top 12 peaks for 15 to 90 degrees two-theta, by angle:
Position (°2θ), d [Å], Rel. int.
23.29, 3.819, 30
28.60, 3.121, 100
29.92, 2.987, 24
30.73, 2.909, 42
35.06, 2.560, 23
35.77, 2.510, 46
36.17, 2.484, 30
42.44, 2.130, 19
48.18, 1.889, 24
56.95, 1.617, 16
58.24, 1.584, 15
70.51, 1.336, 17

Crystal structure
a = 4.2602 Å, b = 4.9672 Å, c = 11.9467 Å
α = 90.00°, β = 90.00°, γ = 90.00°
Space group Pmm2 (No. 25)
Unique sites:
Ac  0.0000  0.0000  0.0000 x1
Ac  0.0000  0.5000  0.2843 x1
Ac  0.5000  0.0000  0.4980 x1
Ac  0.5000  0.5000  0.7845 x1
Zn  0.5000  0.0000  0.2154 x1
Ag  0.0000  0.0000  0.7166 x1
Ag  0.0000  0.5000  0.5682 x1
Ag  0.5000  0.5000  0.0708 x1